Theoretical PXRD pattern
Compound: Na2Tl2Hg3
Radiation: copper Kα
Structure: a GGA-PBE-relaxed structure
Kinematic intensities with the Lorentz-polarization factor, no thermal factor.

Atomic structure:
```
data_Na2Tl2Hg3
_cell_length_a 5.075
_cell_length_b 5.197
_cell_length_c 8.938
_cell_angle_alpha 77.80
_cell_angle_beta 75.40
_cell_angle_gamma 61.46
_space_group_name_H-M_alt 'P -1'
_space_group_IT_number 2
loop_
_space_group_symop_operation_xyz
'x,y,z'
'-x,-y,-z'
loop_
_atom_site_label
_atom_site_fract_x
_atom_site_fract_y
_atom_site_fract_z
Na1 0.119 0.118 0.143
Tl1 0.371 0.367 0.392
Hg1 0.243 0.249 0.765
Hg2 0.500 0.500 0.000
```

Peak list (10 most intense, 2θ = 15–90°, by angle)
| 2theta | Rel. int. |
| --- | --- |
| 19.6 | 33.6 |
| 20.2 | 30.2 |
| 20.7 | 30.8 |
| 30.1 | 23.2 |
| 31.6 | 21.1 |
| 33.4 | 51.7 |
| 34.2 | 100.0 |
| 34.6 | 49.7 |
| 35.2 | 45.0 |
| 35.4 | 47.4 |


Theoretical PXRD pattern
Compound: Na3Tl2Hg4
Radiation: copper Kα
Structure: a GGA-PBE-relaxed structure
Kinematic intensities with the Lorentz-polarization factor, no thermal factor.

Atomic structure:
```
data_Na3Tl2Hg4
_cell_length_a 15.685
_cell_length_b 9.028
_cell_length_c 6.840
_cell_angle_alpha 90.00
_cell_angle_beta 90.01
_cell_angle_gamma 90.00
_space_group_name_H-M_alt 'C 1 2/c 1'
_space_group_IT_number 15
loop_
_space_group_symop_operation_xyz
'x,y,z'
'-x,-y,-z'
'-x,y,-z+1/2'
'x,-y,z+1/2'
'x+1/2,y+1/2,z'
'-x+1/2,-y+1/2,-z'
'-x+1/2,y+1/2,-z+1/2'
'x+1/2,-y+1/2,z+1/2'
loop_
_atom_site_label
_atom_site_fract_x
_atom_site_fract_y
_atom_site_fract_z
Na1 0.000 0.000 0.250
Na2 0.161 0.500 0.250
Tl1 0.166 0.161 0.001
Hg1 0.002 0.333 0.500
Hg2 0.167 0.173 0.501
```

Peak list (10 most intense, 2θ = 15–90°, by angle)
| 2theta | Rel. int. |
| --- | --- |
| 19.6 | 66.7 |
| 26.1 | 52.7 |
| 32.8 | 63.3 |
| 34.4 | 100.0 |
| 43.6 | 82.0 |
| 48.3 | 21.6 |
| 53.6 | 16.2 |
| 60.5 | 14.4 |
| 65.2 | 31.8 |
| 67.9 | 15.1 |


Theoretical PXRD pattern
Compound: NaTlHg10
Radiation: copper Kα
Structure: a GGA-PBE-relaxed structure
Kinematic intensities with the Lorentz-polarization factor, no thermal factor.

Atomic structure:
```
data_NaTlHg10
_cell_length_a 5.608
_cell_length_b 6.025
_cell_length_c 10.605
_cell_angle_alpha 90.00
_cell_angle_beta 90.00
_cell_angle_gamma 90.00
_space_group_name_H-M_alt 'P m m m'
_space_group_IT_number 47
loop_
_space_group_symop_operation_xyz
'x,y,z'
'-x,-y,-z'
'-x,-y,z'
'x,y,-z'
'x,-y,-z'
'-x,y,z'
'-x,y,-z'
'x,-y,z'
loop_
_atom_site_label
_atom_site_fract_x
_atom_site_fract_y
_atom_site_fract_z
Na1 0.000 0.000 0.000
Tl1 0.000 0.500 0.500
Hg1 0.000 0.000 0.323
Hg2 0.000 0.500 0.159
Hg3 0.500 0.000 0.500
Hg4 0.500 0.250 0.251
Hg5 0.500 0.500 0.000
```

Peak list (10 most intense, 2θ = 15–90°, by angle)
| 2theta | Rel. int. |
| --- | --- |
| 16.7 | 22.0 |
| 16.9 | 41.2 |
| 31.9 | 70.0 |
| 33.5 | 100.0 |
| 33.8 | 63.0 |
| 34.2 | 24.4 |
| 37.5 | 33.7 |
| 37.9 | 69.0 |
| 55.1 | 24.7 |
| 70.3 | 28.7 |